(1)
Diffraction record for In7Cu6. The powder X-ray diffraction pattern is calculated, not measured: it uses a structure optimized by DFT (PBE) and copper Kα.
Neutral-atom scattering factors, no anomalous dispersion.

Structure:
```
In7Cu6
1.0
3.053 1.763 9.056
-3.053 1.763 9.056
0.000 -3.526 9.056
In Cu
7 6
direct
0.000 0.000 0.000 In
0.078 0.078 0.571 In
0.078 0.571 0.078 In
0.429 0.922 0.922 In
0.571 0.078 0.078 In
0.922 0.429 0.922 In
0.922 0.922 0.429 In
0.165 0.165 0.165 Cu
0.322 0.322 0.322 Cu
0.411 0.411 0.411 Cu
0.589 0.589 0.589 Cu
0.678 0.678 0.678 Cu
0.835 0.835 0.835 Cu
```

Top 6 peaks for 5° ≤ 2θ ≤ 70°, low angle first:
2θ/deg	intensity
34.06	68
35.46	71
37.84	68
39.82	44
41.31	100
60.66	48

(2)
Diffraction record for In6Cu23. The powder X-ray diffraction pattern is calculated, not measured: it uses a structure optimized by DFT (PBE) and copper Kα.
Neutral-atom scattering factors, no anomalous dispersion.

Structure:
```
In6Cu23
1.0
0.000 5.917 5.917
5.917 0.000 5.917
5.917 5.917 0.000
In Cu
6 23
direct
0.208 0.208 0.792 In
0.208 0.792 0.208 In
0.208 0.792 0.792 In
0.792 0.208 0.208 In
0.792 0.208 0.792 In
0.792 0.792 0.208 In
0.000 0.000 0.500 Cu
0.000 0.500 0.000 Cu
0.000 0.500 0.500 Cu
0.142 0.619 0.619 Cu
0.171 0.171 0.171 Cu
0.171 0.171 0.487 Cu
0.171 0.487 0.171 Cu
0.381 0.381 0.381 Cu
0.381 0.381 0.858 Cu
0.381 0.858 0.381 Cu
0.487 0.171 0.171 Cu
0.500 0.000 0.000 Cu
0.500 0.000 0.500 Cu
0.500 0.500 0.000 Cu
0.500 0.500 0.500 Cu
0.513 0.829 0.829 Cu
0.619 0.142 0.619 Cu
0.619 0.619 0.142 Cu
0.619 0.619 0.619 Cu
0.829 0.513 0.829 Cu
0.829 0.829 0.513 Cu
0.829 0.829 0.829 Cu
0.858 0.381 0.381 Cu
```

Top 6 peaks for 5° ≤ 2θ ≤ 70°, low angle first:
2θ/deg	intensity
37.22	23
39.57	70
43.25	100
45.34	14
46.02	12
67.11	15

(3)
Diffraction record for InCu2. The powder X-ray diffraction pattern is calculated, not measured: it uses a structure optimized by DFT (PBE) and copper Kα.
Neutral-atom scattering factors, no anomalous dispersion.

Structure:
```
InCu2
1.0
5.048 0.000 0.000
-2.524 4.371 0.000
0.000 0.000 16.669
In Cu
8 16
direct
0.000 0.000 0.095 In
0.000 0.000 0.405 In
0.000 0.000 0.595 In
0.000 0.000 0.905 In
0.333 0.667 0.156 In
0.333 0.667 0.344 In
0.667 0.333 0.656 In
0.667 0.333 0.844 In
0.000 0.500 0.000 Cu
0.000 0.500 0.500 Cu
0.166 0.332 0.750 Cu
0.166 0.834 0.750 Cu
0.332 0.166 0.250 Cu
0.333 0.667 0.624 Cu
0.333 0.667 0.876 Cu
0.500 0.000 0.000 Cu
0.500 0.000 0.500 Cu
0.500 0.500 0.000 Cu
0.500 0.500 0.500 Cu
0.667 0.333 0.124 Cu
0.667 0.333 0.376 Cu
0.668 0.834 0.750 Cu
0.834 0.166 0.250 Cu
0.834 0.668 0.250 Cu
```

Top 6 peaks for 5° ≤ 2θ ≤ 70°, low angle first:
2θ/deg	intensity
35.57	46
38.39	60
41.85	100
42.77	48
65.76	23
68.18	22

(4)
Diffraction record for InCu2IrRu. The powder X-ray diffraction pattern is calculated, not measured: it uses a structure optimized by DFT (PBE) and copper Kα.
Neutral-atom scattering factors, no anomalous dispersion.

Structure:
```
InCu2IrRu
1.0
4.656 0.000 0.000
0.000 4.656 0.000
0.000 0.000 4.673
In Cu Ir Ru
1 2 1 1
direct
0.000 0.000 0.000 In
0.000 0.500 0.500 Cu
0.500 0.000 0.500 Cu
0.500 0.500 0.500 Ir
0.500 0.500 0.000 Ru
```

Top 6 peaks for 5° ≤ 2θ ≤ 70°, low angle first:
2θ/deg	intensity
19.05	55
27.06	100
38.53	38
38.68	76
47.78	43
55.74	51

(5)
Diffraction record for KIn3Cu. The powder X-ray diffraction pattern is calculated, not measured: it uses a structure optimized by DFT (PBE) and copper Kα.
Neutral-atom scattering factors, no anomalous dispersion.

Structure:
```
KIn3Cu
1.0
7.185 0.000 0.000
-3.592 6.222 0.000
0.000 0.000 5.981
K In Cu
2 6 2
direct
0.333 0.667 0.250 K
0.667 0.333 0.750 K
0.181 0.361 0.750 In
0.181 0.819 0.750 In
0.361 0.181 0.250 In
0.639 0.819 0.750 In
0.819 0.181 0.250 In
0.819 0.639 0.250 In
0.000 0.000 0.000 Cu
0.000 0.000 0.500 Cu
```

Top 6 peaks for 5° ≤ 2θ ≤ 70°, low angle first:
2θ/deg	intensity
20.60	21
29.88	20
32.44	100
41.90	30
50.83	23
54.68	21

(6)
Diffraction record for KIn12Cu4. The powder X-ray diffraction pattern is calculated, not measured: it uses a structure optimized by DFT (PBE) and copper Kα.
Neutral-atom scattering factors, no anomalous dispersion.

Structure:
```
KIn12Cu4
1.0
-4.791 4.791 4.791
4.791 -4.791 4.791
4.791 4.791 -4.791
K In Cu
1 12 4
direct
0.000 0.000 0.000 K
0.167 0.338 0.505 In
0.167 0.662 0.829 In
0.171 0.833 0.338 In
0.338 0.171 0.833 In
0.338 0.505 0.167 In
0.495 0.833 0.662 In
0.505 0.167 0.338 In
0.662 0.495 0.833 In
0.662 0.829 0.167 In
0.829 0.167 0.662 In
0.833 0.338 0.171 In
0.833 0.662 0.495 In
0.000 0.000 0.500 Cu
0.000 0.500 0.000 Cu
0.500 0.000 0.000 Cu
0.500 0.500 0.500 Cu
```

Top 6 peaks for 5° ≤ 2θ ≤ 70°, low angle first:
2θ/deg	intensity
29.48	100
35.04	40
42.17	23
46.42	21
48.44	19
66.14	18

(7)
Diffraction record for LaInCu3. The powder X-ray diffraction pattern is calculated, not measured: it uses a structure optimized by DFT (PBE) and copper Kα.
Neutral-atom scattering factors, no anomalous dispersion.

Structure:
```
LaInCu3
1.0
1.975 -12.538 0.000
1.975 12.538 0.000
0.000 0.000 4.043
La In Cu
2 2 6
direct
0.080 0.920 0.750 La
0.920 0.080 0.250 La
0.206 0.794 0.250 In
0.794 0.206 0.750 In
0.313 0.687 0.250 Cu
0.372 0.628 0.750 Cu
0.472 0.528 0.750 Cu
0.528 0.472 0.250 Cu
0.628 0.372 0.250 Cu
0.687 0.313 0.750 Cu
```

Top 6 peaks for 5° ≤ 2θ ≤ 70°, low angle first:
2θ/deg	intensity
33.48	100
33.78	40
42.42	32
44.84	22
45.94	23
64.30	18

(8)
Diffraction record for La2InCu3. The powder X-ray diffraction pattern is calculated, not measured: it uses a structure optimized by DFT (PBE) and copper Kα.
Neutral-atom scattering factors, no anomalous dispersion.

Structure:
```
La2InCu3
1.0
0.000 4.547 7.929
3.850 0.000 7.929
3.850 4.547 0.000
La In Cu
4 2 6
direct
0.234 0.766 0.766 La
0.250 0.250 0.250 La
0.750 0.750 0.750 La
0.766 0.234 0.234 La
0.336 0.336 0.664 In
0.664 0.664 0.336 In
0.163 0.163 0.837 Cu
0.164 0.676 0.324 Cu
0.324 0.836 0.164 Cu
0.676 0.164 0.836 Cu
0.836 0.324 0.676 Cu
0.837 0.837 0.163 Cu
```

Top 6 peaks for 5° ≤ 2θ ≤ 70°, low angle first:
2θ/deg	intensity
32.47	100
39.43	37
39.64	18
47.22	11
52.10	17
63.16	17

(9)
Diffraction record for La2In8Cu. The powder X-ray diffraction pattern is calculated, not measured: it uses a structure optimized by DFT (PBE) and copper Kα.
Neutral-atom scattering factors, no anomalous dispersion.

Structure:
```
La2In8Cu
1.0
4.790 0.000 0.000
0.000 4.790 0.000
0.000 0.000 12.465
La In Cu
2 8 1
direct
0.000 0.000 0.194 La
0.000 0.000 0.806 La
0.000 0.500 0.000 In
0.000 0.500 0.379 In
0.000 0.500 0.621 In
0.500 0.000 0.000 In
0.500 0.000 0.379 In
0.500 0.000 0.621 In
0.500 0.500 0.194 In
0.500 0.500 0.806 In
0.000 0.000 0.500 Cu
```

Top 6 peaks for 5° ≤ 2θ ≤ 70°, low angle first:
2θ/deg	intensity
30.03	42
34.15	100
36.03	21
37.56	57
53.02	27
65.60	29

(10)
Diffraction record for La3In2Cu4. The powder X-ray diffraction pattern is calculated, not measured: it uses a structure optimized by DFT (PBE) and copper Kα.
Neutral-atom scattering factors, no anomalous dispersion.

Structure:
```
La3In2Cu4
1.0
5.186 -2.236 0.000
5.186 2.236 0.000
-0.761 0.000 9.023
La In Cu
3 2 4
direct
0.000 0.000 0.000 La
0.372 0.372 0.621 La
0.628 0.628 0.379 La
0.321 0.321 0.226 In
0.679 0.679 0.774 In
0.073 0.073 0.623 Cu
0.281 0.281 0.931 Cu
0.719 0.719 0.069 Cu
0.927 0.927 0.377 Cu
```

Top 6 peaks for 5° ≤ 2θ ≤ 70°, low angle first:
2θ/deg	intensity
28.92	55
32.81	100
33.18	34
37.66	65
40.33	53
66.66	29

(11)
Diffraction record for La2InCu3Sn4. The powder X-ray diffraction pattern is calculated, not measured: it uses a structure optimized by DFT (PBE) and copper Kα.
Neutral-atom scattering factors, no anomalous dispersion.

Structure:
```
La2InCu3Sn4
1.0
4.562 0.000 0.000
0.000 4.562 0.000
0.000 0.000 11.248
La In Cu Sn
2 1 3 4
direct
0.000 0.500 0.241 La
0.500 0.000 0.759 La
0.000 0.000 0.500 In
0.000 0.500 0.875 Cu
0.500 0.000 0.125 Cu
0.500 0.500 0.500 Cu
0.000 0.000 0.000 Sn
0.000 0.500 0.650 Sn
0.500 0.000 0.350 Sn
0.500 0.500 0.000 Sn
```

Top 6 peaks for 5° ≤ 2θ ≤ 70°, low angle first:
2θ/deg	intensity
30.87	36
31.99	100
39.51	55
44.93	24
61.35	19
66.96	26

(12)
Diffraction record for LiInCu2. The powder X-ray diffraction pattern is calculated, not measured: it uses a structure optimized by DFT (PBE) and copper Kα.
Neutral-atom scattering factors, no anomalous dispersion.

Structure:
```
LiInCu2
1.0
2.903 0.000 0.000
0.000 4.270 0.000
-1.375 0.000 5.073
Li In Cu
1 1 2
direct
0.000 0.000 0.000 Li
0.327 0.500 0.672 In
0.600 0.500 0.196 Cu
0.716 0.000 0.452 Cu
```

Top 6 peaks for 5° ≤ 2θ ≤ 70°, low angle first:
2θ/deg	intensity
17.48	62
20.80	58
38.42	52
38.65	58
41.41	100
42.34	49